[1]
# NaCu2Au3
Calculated powder diffractogram, λ = 1.5418 Å (Cu Kα). Input: a DFT-relaxed cell (GGA-PBE, Alexandria).
Intensities are scaled so that the largest is 100.

Most intense lines, 10° ≤ 2θ ≤ 90°, low angle first:
Position (°2θ)  I_rel
13.08  100
16.71  45
21.35  43
26.33  60
31.40  32
32.13  34
33.79  34
33.99  32
43.50  93
43.62  63
44.63  39
47.32  43

Atomic structure:
```
12
Lattice="5.3049 -4.3971 0.0000 5.3049 4.3971 0.0000 0.0000 0.0000 5.2748" Properties=species:S:1:pos:R:3 pbc="T T T"
Na 5.3049 2.6491 3.9561
Na 5.3049 -2.6491 1.3187
Cu 3.0428 0.0000 0.0000
Cu 3.0428 0.0000 2.6374
Cu 7.5670 0.0000 0.0000
Cu 7.5670 0.0000 2.6374
Au 3.1048 2.3235 1.3187
Au 5.3049 0.5636 1.3187
Au 7.5050 2.3235 1.3187
Au 3.1048 -2.3235 3.9561
Au 5.3049 -0.5636 3.9561
Au 7.5050 -2.3235 3.9561
```

[2]
# Na2CuAuO4
Calculated powder diffractogram, λ = 1.5418 Å (Cu Kα). Input: a DFT-relaxed cell (GGA-PBE, Alexandria).
Intensities are scaled so that the largest is 100.

Most intense lines, 10° ≤ 2θ ≤ 90°, low angle first:
Position (°2θ)  I_rel
20.99  100
29.81  41
30.02  16
36.77  23
36.90  24
42.67  21
42.82  45
48.02  15
53.05  19
57.64  24
70.34  10
78.23  12

Atomic structure:
```
16
Lattice="5.9934 0.0000 0.0000 0.0000 5.9934 0.0000 0.0000 0.0000 5.9526" Properties=species:S:1:pos:R:3 pbc="T T T"
Na 0.0000 2.9967 0.0000
Na 0.0000 2.9967 2.9763
Na 2.9967 0.0000 0.0000
Na 2.9967 0.0000 2.9763
Cu 0.0000 0.0000 0.0000
Cu 2.9967 2.9967 2.9763
Au 0.0000 0.0000 2.9763
Au 2.9967 2.9967 0.0000
O 0.9807 0.9807 1.2946
O 0.9807 5.0127 4.6580
O 2.0160 2.0160 4.2709
O 2.0160 3.9774 1.6817
O 3.9774 2.0160 1.6817
O 3.9774 3.9774 4.2709
O 5.0127 0.9807 4.6580
O 5.0127 5.0127 1.2946
```

[3]
# NaCuTeAu
Calculated powder diffractogram, λ = 1.5418 Å (Cu Kα). Input: a DFT-relaxed cell (GGA-PBE, Alexandria).
Intensities are scaled so that the largest is 100.

Most intense lines, 10° ≤ 2θ ≤ 90°, low angle first:
Position (°2θ)  I_rel
15.19  77
22.86  37
27.21  32
32.89  44
35.55  100
44.86  62
45.82  40
48.54  17
51.80  17
67.50  19
78.02  20
84.10  20

Atomic structure:
```
8
Lattice="3.9611 0.0000 0.0000 0.0000 3.9611 0.0000 0.0000 0.0000 11.6685" Properties=species:S:1:pos:R:3 pbc="T T T"
Na 0.9903 0.9903 2.4527
Na 2.9708 2.9708 9.2158
Cu 0.9903 2.9708 5.8342
Cu 2.9708 0.9903 5.8342
Te 0.9903 0.9903 7.5777
Te 2.9708 2.9708 4.0907
Au 0.9903 2.9708 0.0000
Au 2.9708 0.9903 0.0000
```

[4]
# NbCu2Au3
Calculated powder diffractogram, λ = 1.5418 Å (Cu Kα). Input: a DFT-relaxed cell (GGA-PBE, Alexandria).
Intensities are scaled so that the largest is 100.

Most intense lines, 10° ≤ 2θ ≤ 90°, low angle first:
Position (°2θ)  I_rel
24.71  14
30.00  20
39.24  100
42.94  41
50.17  9
50.67  10
62.35  14
68.54  16
70.73  4
76.20  29
84.38  9
87.58  6

Atomic structure:
```
6
Lattice="2.9785 0.0000 0.0000 0.0000 2.9785 0.0000 0.0000 0.0000 10.8103" Properties=species:S:1:pos:R:3 pbc="T T T"
Nb 0.0000 0.0000 0.0000
Cu 0.0000 0.0000 3.7202
Cu 0.0000 0.0000 7.0900
Au 1.4893 1.4893 1.9974
Au 1.4893 1.4893 5.4051
Au 1.4893 1.4893 8.8128
```

[5]
# NdCu2Au10
Calculated powder diffractogram, λ = 1.5418 Å (Cu Kα). Input: a DFT-relaxed cell (GGA-PBE, Alexandria).
Intensities are scaled so that the largest is 100.

Most intense lines, 10° ≤ 2θ ≤ 90°, low angle first:
Position (°2θ)  I_rel
29.68  17
32.85  74
37.73  42
38.11  100
38.49  57
42.35  19
42.58  57
43.04  54
62.42  15
68.11  16
68.87  38
81.52  16

Atomic structure:
```
13
Lattice="0.0000 6.5955 6.7664 2.7267 0.0000 6.7664 2.7267 6.5955 0.0000" Properties=species:S:1:pos:R:3 pbc="T T T"
Nd 0.0000 0.0000 0.0000
Cu 1.3634 3.2978 0.0000
Cu 1.3634 3.2978 6.7664
Au 1.3634 0.0000 3.3832
Au 2.7267 2.3493 4.5630
Au 2.7267 5.1242 5.3697
Au 2.7267 2.3493 8.9698
Au 2.7267 5.1242 8.1631
Au 1.3634 6.5955 3.3832
Au 2.7267 8.0669 5.3697
Au 2.7267 10.8417 4.5630
Au 2.7267 8.0669 8.1631
Au 2.7267 10.8417 8.9698
```

[6]
# Nd4CuAu
Calculated powder diffractogram, λ = 1.5418 Å (Cu Kα). Input: a DFT-relaxed cell (GGA-PBE, Alexandria).
Intensities are scaled so that the largest is 100.

Most intense lines, 10° ≤ 2θ ≤ 90°, low angle first:
Position (°2θ)  I_rel
26.95  100
27.85  94
29.06  94
29.93  56
30.04  50
30.18  33
34.85  35
40.09  44
41.28  33
41.49  44
42.92  33
46.79  38

Atomic structure:
```
12
Lattice="7.1034 0.0000 0.0000 0.0000 7.4929 0.0000 -0.4746 0.0000 7.0429" Properties=species:S:1:pos:R:3 pbc="T T T"
Nd 1.0270 1.2061 1.1912
Nd 0.7897 2.5403 4.7126
Nd 2.3576 4.9092 0.8712
Nd 2.1203 6.3301 4.3926
Nd 4.5086 1.1628 2.6502
Nd 4.2713 2.5837 6.1717
Nd 5.8391 4.9525 2.3303
Nd 5.6018 6.2868 5.8517
Cu -0.2373 0.0000 3.5214
Cu 0.0000 3.7464 0.0000
Au 3.5517 0.0000 0.0000
Au 3.3144 3.7464 3.5214
```

[7]
# Nd3CuAu3
Calculated powder diffractogram, λ = 1.5418 Å (Cu Kα). Input: a DFT-relaxed cell (GGA-PBE, Alexandria).
Intensities are scaled so that the largest is 100.

Most intense lines, 10° ≤ 2θ ≤ 90°, low angle first:
Position (°2θ)  I_rel
27.65  22
31.34  100
32.39  32
35.31  49
38.04  49
39.45  39
41.19  39
45.98  25
51.93  17
57.32  16
61.15  24
62.15  21

Atomic structure:
```
14
Lattice="3.9481 0.0000 0.0000 0.0000 4.5689 0.0000 0.0000 0.0000 19.3558" Properties=species:S:1:pos:R:3 pbc="T T T"
Nd 0.0000 0.0000 0.0000
Nd 0.0000 0.0000 7.0893
Nd 0.0000 2.2844 3.5880
Nd 1.9740 0.0000 13.2659
Nd 1.9740 2.2844 9.6779
Nd 1.9740 2.2844 16.7672
Cu 0.0000 2.2844 14.5786
Cu 1.9740 0.0000 4.9007
Au 0.0000 0.0000 10.2669
Au 0.0000 0.0000 15.9998
Au 0.0000 2.2844 12.0616
Au 1.9740 0.0000 2.3837
Au 1.9740 2.2844 0.5890
Au 1.9740 2.2844 6.3219
```

[8]
# Nd3Cu2Au3
Calculated powder diffractogram, λ = 1.5418 Å (Cu Kα). Input: a DFT-relaxed cell (GGA-PBE, Alexandria).
Intensities are scaled so that the largest is 100.

Most intense lines, 10° ≤ 2θ ≤ 90°, low angle first:
Position (°2θ)  I_rel
27.81  30
31.79  100
32.42  31
32.94  26
33.83  39
34.66  29
36.89  74
40.06  44
40.75  53
44.26  22
53.95  25
64.15  23

Atomic structure:
```
16
Lattice="2.2143 -5.3000 0.0000 2.2143 5.3000 0.0000 0.0000 0.0000 15.5302" Properties=species:S:1:pos:R:3 pbc="T T T"
Nd 2.2143 4.3924 9.3316
Nd 2.2143 4.3924 13.9637
Nd 2.2143 1.5015 11.6476
Nd 2.2143 -1.5015 3.8825
Nd 2.2143 -4.3924 1.5665
Nd 2.2143 -4.3924 6.1986
Cu 2.2143 3.0557 1.6796
Cu 2.2143 3.0557 6.0855
Cu 2.2143 -3.0557 9.4447
Cu 2.2143 -3.0557 13.8506
Au 2.2143 1.5368 3.8825
Au 2.2143 1.2792 8.4518
Au 2.2143 1.2792 14.8435
Au 2.2143 -1.2792 0.6867
Au 2.2143 -1.2792 7.0784
Au 2.2143 -1.5368 11.6476
```

[9]
# Nd3Cu3Au
Calculated powder diffractogram, λ = 1.5418 Å (Cu Kα). Input: a DFT-relaxed cell (GGA-PBE, Alexandria).
Intensities are scaled so that the largest is 100.

Most intense lines, 10° ≤ 2θ ≤ 90°, low angle first:
Position (°2θ)  I_rel
24.70  19
32.40  100
32.63  52
36.21  21
38.40  38
41.72  28
41.89  22
46.86  14
47.10  20
53.94  30
62.33  18
64.71  15

Atomic structure:
```
14
Lattice="3.8589 0.0000 0.0000 0.0000 4.3303 0.0000 0.0000 0.0000 19.5137" Properties=species:S:1:pos:R:3 pbc="T T T"
Nd 0.0000 0.0000 0.0000
Nd 0.0000 0.0000 7.2172
Nd 0.0000 2.1651 3.5077
Nd 1.9295 0.0000 13.2646
Nd 1.9295 2.1651 9.7569
Nd 1.9295 2.1651 16.9740
Cu 0.0000 0.0000 10.6704
Cu 0.0000 0.0000 16.1804
Cu 0.0000 2.1651 11.9779
Cu 1.9295 0.0000 2.2211
Cu 1.9295 2.1651 0.9136
Cu 1.9295 2.1651 6.4235
Au 0.0000 2.1651 14.5820
Au 1.9295 0.0000 4.8251
```

[10]
# TbNdCuAu
Calculated powder diffractogram, λ = 1.5418 Å (Cu Kα). Input: a DFT-relaxed cell (GGA-PBE, Alexandria).
Intensities are scaled so that the largest is 100.

Most intense lines, 10° ≤ 2θ ≤ 90°, low angle first:
Position (°2θ)  I_rel
21.27  12
35.09  100
41.40  7
50.46  18
55.36  3
62.95  37
67.25  2
74.15  11
78.17  2
84.76  16
88.67  1

Atomic structure:
```
16
Lattice="7.2338 0.0000 0.0000 0.0000 7.2338 0.0000 0.0000 0.0000 7.2338" Properties=species:S:1:pos:R:3 pbc="T T T"
Tb 0.0000 0.0000 0.0000
Tb 0.0000 3.6169 3.6169
Tb 3.6169 0.0000 3.6169
Tb 3.6169 3.6169 0.0000
Nd 0.0000 0.0000 3.6169
Nd 0.0000 3.6169 0.0000
Nd 3.6169 0.0000 0.0000
Nd 3.6169 3.6169 3.6169
Cu 1.8084 1.8084 5.4253
Cu 1.8084 5.4253 1.8084
Cu 5.4253 1.8084 1.8084
Cu 5.4253 5.4253 5.4253
Au 1.8084 1.8084 1.8084
Au 1.8084 5.4253 5.4253
Au 5.4253 1.8084 5.4253
Au 5.4253 5.4253 1.8084
```

[11]
# Cu4NiAu7
Calculated powder diffractogram, λ = 1.5418 Å (Cu Kα). Input: a DFT-relaxed cell (GGA-PBE, Alexandria).
Intensities are scaled so that the largest is 100.

Most intense lines, 10° ≤ 2θ ≤ 90°, low angle first:
Position (°2θ)  I_rel
22.32  76
25.51  36
35.78  81
36.37  36
36.98  95
37.14  93
40.10  44
40.99  64
41.72  93
42.58  100
42.75  61
42.87  40

Atomic structure:
```
12
Lattice="4.9685 0.0000 0.0000 -0.0125 5.0189 0.0000 -0.8323 -2.4742 7.7829" Properties=species:S:1:pos:R:3 pbc="T T T"
Cu 0.7494 -0.0258 2.0500
Cu 0.7473 2.5491 2.0367
Cu 3.3764 -0.0044 5.7462
Cu 3.3743 2.5705 5.7329
Ni -0.4224 1.2724 3.8915
Au 0.0095 -1.2278 7.5121
Au 0.7838 -1.2359 4.6867
Au 0.8649 1.2805 6.4430
Au 2.0619 1.2724 3.8915
Au 3.2588 1.2642 1.3399
Au 3.3399 3.7806 3.0963
Au 4.1142 3.7725 0.2708
```

[12]
# Cu6Ni2Au
Calculated powder diffractogram, λ = 1.5418 Å (Cu Kα). Input: a DFT-relaxed cell (GGA-PBE, Alexandria).
Intensities are scaled so that the largest is 100.

Most intense lines, 10° ≤ 2θ ≤ 90°, low angle first:
Position (°2θ)  I_rel
18.47  22
24.73  12
27.66  14
40.09  8
43.55  100
43.91  67
44.03  33
63.52  22
63.73  11
75.72  6
80.00  11
80.13  16

Atomic structure:
```
9
Lattice="3.2529 -3.6039 0.0000 3.2529 3.6039 0.0000 -0.7031 0.0000 4.8101" Properties=species:S:1:pos:R:3 pbc="T T T"
Cu 1.9487 1.1886 1.5860
Cu 3.2529 2.3793 0.0000
Cu 1.9487 -1.1886 1.5860
Cu 3.8540 1.1886 3.2241
Cu 3.2529 -2.3793 0.0000
Cu 3.8540 -1.1886 3.2241
Ni 1.6357 0.0000 4.0517
Ni 4.1669 0.0000 0.7584
Au -0.3516 0.0000 2.4050
```

[13]
# CuNi6Au
Calculated powder diffractogram, λ = 1.5418 Å (Cu Kα). Input: a DFT-relaxed cell (GGA-PBE, Alexandria).
Intensities are scaled so that the largest is 100.

Most intense lines, 10° ≤ 2θ ≤ 90°, low angle first:
Position (°2θ)  I_rel
15.01  10
24.49  19
35.03  20
43.17  100
43.27  100
50.20  63
50.61  31
73.58  10
73.87  9
74.05  37
89.38  22
89.59  23

Atomic structure:
```
32
Lattice="3.6074 -5.1320 0.0000 3.6074 5.1320 0.0000 0.0000 0.0000 10.2986" Properties=species:S:1:pos:R:3 pbc="T T T"
Cu 0.0000 0.0000 2.5236
Cu 0.0000 0.0000 7.7750
Cu 3.6074 2.5428 0.0000
Cu 3.6074 -2.5428 0.0000
Ni 0.0000 0.0000 0.0000
Ni 0.0000 0.0000 5.1493
Ni 1.7591 1.3038 1.2364
Ni 1.7591 1.3038 9.0622
Ni 1.7493 1.2623 3.8018
Ni 1.7493 1.2623 6.4968
Ni 3.6074 2.6092 2.4970
Ni 3.6074 2.6092 7.8016
Ni 1.7493 -1.2623 3.8018
Ni 1.7493 -1.2623 6.4968
Ni 1.7591 -1.3038 1.2364
Ni 1.7591 -1.3038 9.0622
Ni 3.6074 0.0000 0.0000
Ni 3.6074 0.0000 5.1493
Ni 5.4557 1.3038 1.2364
Ni 5.4557 1.3038 9.0622
Ni 5.4655 1.2623 3.8018
Ni 5.4655 1.2623 6.4968
Ni 3.6074 -2.6092 2.4970
Ni 3.6074 -2.6092 7.8016
Ni 5.4655 -1.2623 3.8018
Ni 5.4655 -1.2623 6.4968
Ni 5.4557 -1.3038 1.2364
Ni 5.4557 -1.3038 9.0622
Au 3.6074 2.5389 5.1493
Au 3.6074 0.0000 2.5412
Au 3.6074 0.0000 7.7574
Au 3.6074 -2.5389 5.1493
```